Entry 1:
Diffraction record for LaAlCo4. The powder X-ray diffraction pattern is calculated, not measured: it uses a cell relaxed with GGA-PBE and CuKα.
Lines closer than 0.1° are merged.

Most intense lines, 10 to 90 degrees two-theta, in order of rising 2θ:
two_theta  I (rel.)
30.53  70
34.28  28
39.79  55
41.79  100
47.39  23
59.07  22
63.55  26
66.54  24
72.23  18
84.29  12

```
data_LaAlCo4
_cell_length_a 5.2317
_cell_length_b 5.2317
_cell_length_c 3.8366
_cell_angle_alpha 90.00
_cell_angle_beta 90.00
_cell_angle_gamma 120.00
_symmetry_space_group_name_H-M 'P -6 m 2'
_symmetry_Int_Tables_number 187
_symmetry_space_group_name_Hall 'P -6 2'
loop_
_atom_site_label
_atom_site_fract_x
_atom_site_fract_y
_atom_site_fract_z
_atom_site_occupancy
La1 0.0000 0.0000 0.0000 1
Al1 0.3333 0.6667 0.0000 1
Co1 0.5038 0.0076 0.5000 1
Co2 0.6667 0.3333 0.0000 1
```

Entry 2:
Diffraction record for Tm2Fe3Si5. The powder X-ray diffraction pattern is calculated, not measured: it uses a cell relaxed with GGA-PBE and CuKα.
Lines closer than 0.1° are merged.

Most intense lines, 10 to 90 degrees two-theta, in order of rising 2θ:
two_theta  I (rel.)
25.35  34
32.03  100
33.03  28
35.91  34
38.52  28
39.07  26
39.69  52
41.51  56
54.58  30
65.68  19

```
data_Tm2Fe3Si5
_cell_length_a 10.3107
_cell_length_b 10.3107
_cell_length_c 5.4232
_cell_angle_alpha 90.00
_cell_angle_beta 90.00
_cell_angle_gamma 90.00
_symmetry_space_group_name_H-M 'P 4/m n c'
_symmetry_Int_Tables_number 128
_symmetry_space_group_name_Hall '-P 4 2n'
loop_
_atom_site_label
_atom_site_fract_x
_atom_site_fract_y
_atom_site_fract_z
_atom_site_occupancy
Tm1 0.0699 0.2365 0.0000 1
Fe1 0.0000 0.5000 0.2500 1
Fe2 0.1230 0.8557 0.5000 1
Si1 0.0000 0.0000 0.2619 1
Si2 0.0234 0.3193 0.5000 1
Si3 0.1774 0.6774 0.2500 1
```